(1)
For Ba2SCl2, DFT lattice parameters and positions (PBE) gives the simulated powder XRD pattern in this record (Cu Kα).

Atomic structure:
a = 11.2849 Å, b = 7.8517 Å, c = 7.9455 Å
α = 90.00°, β = 102.14°, γ = 90.00°
Positions (direct):
1 Ba 0.0600 0.0430 0.2370
2 Ba 0.0600 0.4570 0.7370
3 Ba 0.3580 0.0595 0.7227
4 Ba 0.3580 0.4405 0.2227
5 Ba 0.6420 0.5595 0.7773
6 Ba 0.6420 0.9405 0.2773
7 Ba 0.9400 0.5430 0.2630
8 Ba 0.9400 0.9570 0.7630
9 S 0.1898 0.1777 0.9620
10 S 0.1898 0.3223 0.4620
11 S 0.8102 0.6777 0.5380
12 S 0.8102 0.8223 0.0380
13 Cl 0.1334 0.6927 0.0596
14 Cl 0.1334 0.8073 0.5596
15 Cl 0.4594 0.7400 0.9830
16 Cl 0.4594 0.7600 0.4830
17 Cl 0.5406 0.2400 0.5170
18 Cl 0.5406 0.2600 0.0170
19 Cl 0.8666 0.1927 0.4404
20 Cl 0.8666 0.3073 0.9404

Top 8 peaks for 10 to 80 degrees two-theta, in order of falling intensity:
20.99 deg, 4.232 Å, intensity 100; 32.43 deg, 2.761 Å, intensity 72; 24.45 deg, 3.640 Å, intensity 69; 36.93 deg, 2.434 Å, intensity 38; 27.43 deg, 3.252 Å, intensity 32; 33.39 deg, 2.684 Å, intensity 32; 41.75 deg, 2.163 Å, intensity 27; 37.03 deg, 2.427 Å, intensity 27

(2)
For SmCo9B4, DFT lattice parameters and positions (PBE) gives the simulated powder XRD pattern in this record (Cu Kα).

Atomic structure:
a = 7.4656 Å, b = 7.4656 Å, c = 7.4656 Å
α = 120.19°, β = 120.19°, γ = 89.66°
Positions (direct):
1 Sm 0.2500 0.2500 0.0000
2 Sm 0.7500 0.7500 0.0000
3 Co 0.0000 0.5000 0.5000
4 Co 0.0208 0.8181 0.5000
5 Co 0.0837 0.8069 0.8906
6 Co 0.1819 0.6819 0.2027
7 Co 0.1931 0.0837 0.2768
8 Co 0.3069 0.5837 0.8906
9 Co 0.3181 0.5208 0.5000
10 Co 0.4163 0.3069 0.7232
11 Co 0.4792 0.9792 0.7973
12 Co 0.5000 0.0000 0.5000
13 Co 0.5208 0.0208 0.2027
14 Co 0.5837 0.6931 0.2768
15 Co 0.6819 0.4792 0.5000
16 Co 0.6931 0.4163 0.1094
17 Co 0.8069 0.9163 0.7232
18 Co 0.8181 0.3181 0.7973
19 Co 0.9163 0.1931 0.1094
20 Co 0.9792 0.1819 0.5000
21 B 0.0001 0.5001 0.2093
22 B 0.9999 0.4999 0.7907
23 B 0.2092 0.9999 0.5000
24 B 0.2908 0.7908 0.7907
25 B 0.5001 0.2908 0.5000
26 B 0.4999 0.7092 0.5000
27 B 0.7092 0.2092 0.2093
28 B 0.7908 0.0001 0.5000

Top 8 peaks for 10 to 80 degrees two-theta, in order of falling intensity:
42.01 deg, 2.151 Å, intensity 100; 37.12 deg, 2.422 Å, intensity 51; 38.21 deg, 2.356 Å, intensity 26; 38.05 deg, 2.365 Å, intensity 20; 23.87 deg, 3.728 Å, intensity 18; 55.18 deg, 1.665 Å, intensity 18; 51.33 deg, 1.780 Å, intensity 17; 41.88 deg, 2.157 Å, intensity 16

(3)
For HgMo4Br7, DFT lattice parameters and positions (PBE) gives the simulated powder XRD pattern in this record (Cu Kα).

Atomic structure:
a = 3.3186 Å, b = 21.1214 Å, c = 12.0313 Å
α = 90.00°, β = 91.08°, γ = 90.00°
Positions (direct):
1 Hg 0.2236 0.2500 0.4490
2 Hg 0.7764 0.7500 0.5510
3 Mo 0.1816 0.1353 0.0222
4 Mo 0.1816 0.3647 0.0222
5 Mo 0.2436 0.5914 0.1143
6 Mo 0.2436 0.9086 0.1143
7 Mo 0.7564 0.0914 0.8857
8 Mo 0.7564 0.4086 0.8857
9 Mo 0.8184 0.6353 0.9778
10 Mo 0.8184 0.8647 0.9778
11 Br 0.1881 0.2500 0.9415
12 Br 0.2373 0.6668 0.8081
13 Br 0.2373 0.8332 0.8081
14 Br 0.2377 0.0264 0.1367
15 Br 0.2377 0.4736 0.1367
16 Br 0.2658 0.6547 0.2792
17 Br 0.2658 0.8453 0.2792
18 Br 0.7342 0.1547 0.7208
19 Br 0.7342 0.3453 0.7208
20 Br 0.7623 0.5264 0.8633
21 Br 0.7623 0.9736 0.8633
22 Br 0.7627 0.1668 0.1919
23 Br 0.7627 0.3332 0.1919
24 Br 0.8119 0.7500 0.0585

Top 8 peaks for 10 to 80 degrees two-theta, in order of falling intensity:
11.15 deg, 7.936 Å, intensity 100; 18.35 deg, 4.835 Å, intensity 66; 30.82 deg, 2.901 Å, intensity 65; 33.21 deg, 2.698 Å, intensity 55; 31.32 deg, 2.856 Å, intensity 50; 29.39 deg, 3.039 Å, intensity 46; 32.19 deg, 2.781 Å, intensity 46; 30.01 deg, 2.977 Å, intensity 42

(4)
For Pm6SiS4, DFT lattice parameters and positions (PBE) gives the simulated powder XRD pattern in this record (Cu Kα).

Atomic structure:
a = 6.9198 Å, b = 6.9198 Å, c = 20.4172 Å
α = 90.00°, β = 90.00°, γ = 145.86°
Positions (direct):
1 Pm 0.0000 0.0000 0.0000
2 Pm 0.0000 0.0000 0.5000
3 Pm 0.1742 0.8258 0.7500
4 Pm 0.2736 0.7264 0.0844
5 Pm 0.2736 0.7264 0.4156
6 Pm 0.4494 0.5506 0.6649
7 Pm 0.4494 0.5506 0.8351
8 Pm 0.5506 0.4494 0.1649
9 Pm 0.5506 0.4494 0.3351
10 Pm 0.7264 0.2736 0.5844
11 Pm 0.7264 0.2736 0.9156
12 Pm 0.8258 0.1742 0.2500
13 Si 0.1651 0.8349 0.2500
14 Si 0.8349 0.1651 0.7500
15 S 0.0902 0.9098 0.6254
16 S 0.0902 0.9098 0.8746
17 S 0.3625 0.6375 0.5407
18 S 0.3625 0.6375 0.9593
19 S 0.6375 0.3625 0.0407
20 S 0.6375 0.3625 0.4593
21 S 0.9098 0.0902 0.1254
22 S 0.9098 0.0902 0.3746

Top 8 peaks for 10 to 80 degrees two-theta, in order of falling intensity:
29.52 deg, 3.026 Å, intensity 100; 31.19 deg, 2.867 Å, intensity 79; 44.59 deg, 2.032 Å, intensity 51; 26.43 deg, 3.373 Å, intensity 50; 54.41 deg, 1.686 Å, intensity 48; 30.23 deg, 2.956 Å, intensity 45; 28.89 deg, 3.091 Å, intensity 37; 32.73 deg, 2.736 Å, intensity 35

(5)
For GdCr2Fe10, DFT lattice parameters and positions (PBE) gives the simulated powder XRD pattern in this record (Cu Kα).

Atomic structure:
a = 6.3893 Å, b = 6.3893 Å, c = 6.3893 Å
α = 137.20°, β = 98.17°, γ = 97.13°
Positions (direct):
1 Gd 0.0000 0.0000 0.0000
2 Cr 0.3681 0.3681 0.0000
3 Cr 0.6319 0.6319 0.0000
4 Fe 0.0000 0.0000 0.5000
5 Fe 0.0000 0.5000 0.0000
6 Fe 0.2263 0.5000 0.7263
7 Fe 0.2308 0.7308 0.5000
8 Fe 0.3589 0.0000 0.3589
9 Fe 0.5000 0.0000 0.0000
10 Fe 0.5000 0.5000 0.5000
11 Fe 0.6411 0.0000 0.6411
12 Fe 0.7692 0.2692 0.5000
13 Fe 0.7737 0.5000 0.2737

Top 8 peaks for 10 to 80 degrees two-theta, in order of falling intensity:
43.27 deg, 2.091 Å, intensity 100; 43.44 deg, 2.083 Å, intensity 75; 44.37 deg, 2.041 Å, intensity 51; 44.49 deg, 2.036 Å, intensity 46; 42.77 deg, 2.114 Å, intensity 44; 30.47 deg, 2.933 Å, intensity 33; 49.69 deg, 1.835 Å, intensity 32; 37.57 deg, 2.394 Å, intensity 30

(6)
For TcBr, DFT lattice parameters and positions (PBE) gives the simulated powder XRD pattern in this record (Cu Kα).

Atomic structure:
a = 3.1357 Å, b = 3.6765 Å, c = 9.2534 Å
α = 82.95°, β = 89.73°, γ = 64.77°
Positions (direct):
1 Tc 0.1336 0.2302 0.0809
2 Tc 0.8664 0.7698 0.9191
3 Br 0.4034 0.7015 0.7038
4 Br 0.5966 0.2985 0.2962

Top 8 peaks for 10 to 80 degrees two-theta, in order of falling intensity:
30.01 deg, 2.978 Å, intensity 100; 36.25 deg, 2.478 Å, intensity 98; 36.39 deg, 2.469 Å, intensity 97; 45.02 deg, 2.014 Å, intensity 88; 27.51 deg, 3.243 Å, intensity 70; 44.76 deg, 2.025 Å, intensity 38; 32.56 deg, 2.750 Å, intensity 36; 50.61 deg, 1.803 Å, intensity 36

(7)
For KNbIr2O8, DFT lattice parameters and positions (PBE) gives the simulated powder XRD pattern in this record (Cu Kα).

Atomic structure:
a = 5.5477 Å, b = 5.5477 Å, c = 7.8127 Å
α = 90.00°, β = 90.00°, γ = 120.00°
Positions (direct):
1 K 0.0000 0.0000 0.0000
2 Nb 0.0000 0.0000 0.5000
3 Ir 0.3333 0.6667 0.7593
4 Ir 0.6667 0.3333 0.2407
5 O 0.0877 0.3228 0.6549
6 O 0.2351 0.9123 0.6549
7 O 0.3228 0.2351 0.3451
8 O 0.3333 0.6667 0.9855
9 O 0.6667 0.3333 0.0145
10 O 0.6772 0.7649 0.6549
11 O 0.7649 0.0877 0.3451
12 O 0.9123 0.6772 0.3451

Top 8 peaks for 10 to 80 degrees two-theta, in order of falling intensity:
21.72 deg, 4.093 Å, intensity 100; 32.27 deg, 2.774 Å, intensity 37; 29.47 deg, 3.031 Å, intensity 33; 51.71 deg, 1.768 Å, intensity 28; 57.73 deg, 1.597 Å, intensity 17; 39.35 deg, 2.290 Å, intensity 16; 39.24 deg, 2.296 Å, intensity 14; 44.26 deg, 2.046 Å, intensity 13

(8)
For Pu3Ga9Tc2, DFT lattice parameters and positions (PBE) gives the simulated powder XRD pattern in this record (Cu Kα).

Atomic structure:
a = 8.0808 Å, b = 8.0808 Å, c = 8.0808 Å
α = 148.62°, β = 107.53°, γ = 81.08°
Positions (direct):
1 Pu 0.0000 0.0000 0.0000
2 Pu 0.3013 0.3013 0.0000
3 Pu 0.6987 0.6987 0.0000
4 Ga 0.0150 0.6519 0.3630
5 Ga 0.1498 0.8685 0.2813
6 Ga 0.2889 0.6519 0.6370
7 Ga 0.4127 0.1315 0.2813
8 Ga 0.5000 0.0000 0.5000
9 Ga 0.5873 0.8685 0.7187
10 Ga 0.7111 0.3481 0.3630
11 Ga 0.8502 0.1315 0.7187
12 Ga 0.9850 0.3481 0.6370
13 Tc 0.3313 0.5000 0.8313
14 Tc 0.6687 0.5000 0.1687

Top 8 peaks for 10 to 80 degrees two-theta, in order of falling intensity:
35.44 deg, 2.533 Å, intensity 100; 41.32 deg, 2.185 Å, intensity 43; 34.86 deg, 2.574 Å, intensity 39; 35.72 deg, 2.513 Å, intensity 38; 22.37 deg, 3.974 Å, intensity 38; 37.00 deg, 2.430 Å, intensity 34; 37.89 deg, 2.375 Å, intensity 29; 29.91 deg, 2.988 Å, intensity 24

(9)
For Ho2Fe7, DFT lattice parameters and positions (PBE) gives the simulated powder XRD pattern in this record (Cu Kα).

Atomic structure:
a = 12.3168 Å, b = 12.3168 Å, c = 12.3168 Å
α = 23.63°, β = 23.63°, γ = 23.63°
Positions (direct):
1 Ho 0.0523 0.0523 0.0523
2 Ho 0.1495 0.1495 0.1495
3 Ho 0.8505 0.8505 0.8505
4 Ho 0.9477 0.9477 0.9477
5 Fe 0.0000 0.5000 0.5000
6 Fe 0.1089 0.6095 0.6095
7 Fe 0.2788 0.2788 0.2788
8 Fe 0.3875 0.3875 0.3875
9 Fe 0.3905 0.3905 0.8911
10 Fe 0.3905 0.8911 0.3905
11 Fe 0.5000 0.0000 0.5000
12 Fe 0.5000 0.5000 0.0000
13 Fe 0.5000 0.5000 0.5000
14 Fe 0.6095 0.1089 0.6095
15 Fe 0.6095 0.6095 0.1089
16 Fe 0.6125 0.6125 0.6125
17 Fe 0.7212 0.7212 0.7212
18 Fe 0.8911 0.3905 0.3905

Top 8 peaks for 10 to 80 degrees two-theta, in order of falling intensity:
42.41 deg, 2.132 Å, intensity 100; 35.60 deg, 2.522 Å, intensity 51; 32.28 deg, 2.774 Å, intensity 45; 41.42 deg, 2.180 Å, intensity 35; 34.30 deg, 2.615 Å, intensity 29; 68.62 deg, 1.368 Å, intensity 23; 75.39 deg, 1.261 Å, intensity 19; 45.47 deg, 1.995 Å, intensity 15